Starting from a DFT-relaxed cell (PBE+U, Alexandria), the powder X-ray diffraction pattern of Ba2TbFe2O6 was computed for copper Kα.

```
data_Ba2TbFe2O6
_space_group_name_H-M_alt 'R -3 m'
_space_group_IT_number 166
_space_group_name_Hall '-R 3 2"'
_cell_length_a 6.1636
_cell_length_b 6.1636
_cell_length_c 17.4602
_cell_angle_alpha 90.00
_cell_angle_beta 90.00
_cell_angle_gamma 120.00
loop_
_atom_site_label
_atom_site_fract_x
_atom_site_fract_y
_atom_site_fract_z
Ba1 0.0000 0.0000 0.2111
Tb1 0.0000 0.0000 0.0000
Fe1 0.0000 0.0000 0.4269
O1 0.0124 0.5062 0.7529
```

Main lines, by angle (2θ = 10–90°):
| h k l | d (Å) | I_rel |
| --- | --- | --- |
| 1 0 1 | 5.105 | 18 |
| 1 0 4 | 3.379 | 28 |
| 1 1 0 | 3.082 | 100 |
| 0 1 5 | 2.922 | 77 |
| 0 2 4 | 2.277 | 23 |
| 2 0 5 | 2.120 | 34 |
| 3 0 0 | 1.779 | 20 |
| 1 2 5 | 1.747 | 35 |
| 1 1 9 | 1.642 | 22 |
| 2 2 0 | 1.541 | 18 |
| 3 1 5 | 1.363 | 15 |
| 4 1 0 | 1.165 | 11 |